No. 1
Diffraction record for Cr2Os3Ru4. The XRD peak list is calculated, not measured: it uses the PBE geometry in Alexandria and Cu Kα.
No peak broadening, texture or thermal motion is included.

Atomic structure:
abc: 3.8003 8.0820 8.4484
angles: 77.47 89.93 76.42
Fractional positions:
Cr: 0.0839 0.3312 0.0851
Cr: 0.3044 0.8914 0.9724
Cr: 0.6956 0.1086 0.0276
Cr: 0.9161 0.6688 0.9149
Os: 0.1415 0.2168 0.8158
Os: 0.1940 0.1110 0.5287
Os: 0.4696 0.5596 0.1321
Os: 0.5304 0.4404 0.8679
Os: 0.8060 0.8890 0.4713
Os: 0.8585 0.7832 0.1842
Ru: 0.0283 0.4431 0.3550
Ru: 0.2472 0.0050 0.2435
Ru: 0.3618 0.7757 0.7013
Ru: 0.4159 0.6669 0.4144
Ru: 0.5841 0.3331 0.5856
Ru: 0.6382 0.2243 0.2987
Ru: 0.7528 0.9950 0.7565
Ru: 0.9717 0.5569 0.6450

Largest 10 diffraction maxima, by angle, 2θ from 15° to 90°:
2θ/deg	I (rel.)	(hkl)
17.48	11	0 1 -1
41.21	100	1 2 3
47.71	16	0 4 2
47.87	16	2 1 0
48.26	15	0 1 -4
69.90	10	2 5 2
70.21	10	0 3 6
84.39	9	1 7 1
84.61	12	3 3 3
85.17	9	1 1 7

---

No. 2
Diffraction record for Ca2InPO6. The XRD peak list is calculated, not measured: it uses the PBE geometry in Alexandria and Cu Kα.
No peak broadening, texture or thermal motion is included.

Atomic structure:
abc: 5.2079 5.2079 4.6242
angles: 90.00 90.00 90.00
Fractional positions:
Ca: 0.0000 0.5000 0.0000
Ca: 0.5000 0.0000 0.0000
In: 0.0000 0.0000 0.5511
P: 0.5000 0.5000 0.5723
O: 0.0000 0.0000 0.1029
O: 0.2802 0.2802 0.6764
O: 0.2802 0.7198 0.6764
O: 0.5000 0.5000 0.2330
O: 0.7198 0.2802 0.6764
O: 0.7198 0.7198 0.6764

Largest 10 diffraction maxima, by angle, 2θ from 15° to 90°:
2θ/deg	I (rel.)	(hkl)
17.03	23	1 0 0
19.19	23	0 0 1
24.17	22	1 1 0
25.76	16	1 0 1
31.05	100	1 1 1
34.44	35	2 0 0
38.95	14	0 0 2
49.50	28	2 2 0
52.96	24	2 0 2
59.59	28	3 1 1

---

No. 3
Diffraction record for ReHO4. The XRD peak list is calculated, not measured: it uses the PBE geometry in Alexandria and Cu Kα.
No peak broadening, texture or thermal motion is included.

Atomic structure:
abc: 4.3587 4.3628 9.1080
angles: 90.00 90.00 90.00
Fractional positions:
Re: 0.0000 0.0000 0.0000
Re: 0.0000 0.5000 0.5000
H: 0.0000 0.0000 0.5000
H: 0.5000 0.0000 0.0000
O: 0.2198 0.2441 0.6062
O: 0.2198 0.7559 0.3938
O: 0.2560 0.2203 0.1060
O: 0.2560 0.7797 0.8940
O: 0.7440 0.2203 0.8940
O: 0.7440 0.7797 0.1060
O: 0.7802 0.2441 0.3938
O: 0.7802 0.7559 0.6062

Largest 10 diffraction maxima, by angle, 2θ from 15° to 90°:
2θ/deg	I (rel.)	(hkl)
19.49	83	0 0 2
20.37	65	1 0 0
22.60	100	0 1 1
28.34	55	1 0 2
30.61	88	1 1 1
36.04	29	0 1 3
41.75	39	1 1 3
46.16	25	2 0 2
47.70	26	2 1 1
58.62	23	2 0 4

---

No. 4
Diffraction record for InP2Os. The XRD peak list is calculated, not measured: it uses the PBE geometry in Alexandria and Cu Kα.
No peak broadening, texture or thermal motion is included.

Atomic structure:
abc: 8.1121 3.0742 6.3109
angles: 90.00 108.26 90.00
Fractional positions:
In: 0.0000 0.0000 0.0000
In: 0.5000 0.5000 0.0000
P: 0.2038 0.0000 0.7377
P: 0.3314 0.0000 0.3661
P: 0.7038 0.5000 0.7377
P: 0.8314 0.5000 0.3661
Os: 0.1332 0.5000 0.4368
Os: 0.6332 0.0000 0.4368

Largest 10 diffraction maxima, by angle, 2θ from 15° to 90°:
2θ/deg	I (rel.)	(hkl)
23.09	57	2 0 0
23.21	99	2 0 -1
29.82	64	0 0 2
31.30	38	2 0 1
33.15	86	1 1 -1
36.39	100	1 1 1
41.05	49	1 1 -2
44.69	35	4 0 -1
46.06	50	3 1 0
48.82	50	3 1 -2